(1)
The following is a theoretical PXRD pattern of K2YSbO7. It was derived from the PBE geometry in the Materials Project, using copper Kα.
Lines closer than 0.1° are merged.

Atomic structure:
```
data_K2YSbO7
_chemical_formula_sum 'K8 Y4 Sb4 O28'
_symmetry_space_group_name_H-M 'I m m a'
_symmetry_Int_Tables_number 74
_symmetry_space_group_name_Hall '-I 2b 2'
_cell_length_a 8.112
_cell_length_b 11.383
_cell_length_c 8.429
_cell_angle_alpha 90.00
_cell_angle_beta 90.00
_cell_angle_gamma 90.00
loop_
_atom_site_label
_atom_site_type_symbol
_atom_site_fract_x
_atom_site_fract_y
_atom_site_fract_z
K1 K 0.000 0.000 0.000
K2 K 0.250 0.250 0.250
Y1 Y 0.250 0.250 0.750
Sb1 Sb 0.000 0.000 0.500
O1 O 0.000 0.084 0.295
O2 O 0.000 0.250 0.864
O3 O 0.176 0.111 0.568
```

Main lines, by intensity (15° ≤ 2θ ≤ 90°):
index, 2θ/deg, I/Imax
0 2 2, 26.3, 100
2 2 0, 27.0, 92
2 4 2, 44.4, 59
1 0 1, 15.2, 49
2 0 2, 30.6, 44
1 2 1, 21.8, 38


(2)
The following is a theoretical PXRD pattern of K3ScSi2O7. It was derived from the PBE geometry in the Materials Project, using copper Kα.
Lines closer than 0.1° are merged.

Atomic structure:
```
data_K3ScSi2O7
_chemical_formula_sum 'K6 Sc2 Si4 O14'
_symmetry_space_group_name_H-M 'P 63/m m c'
_symmetry_Int_Tables_number 194
_symmetry_space_group_name_Hall '-P 6c 2c'
_cell_length_a 5.6808
_cell_length_b 5.6808
_cell_length_c 13.8442
_cell_angle_alpha 90.00
_cell_angle_beta 90.00
_cell_angle_gamma 120.00
loop_
_atom_site_label
_atom_site_type_symbol
_atom_site_fract_x
_atom_site_fract_y
_atom_site_fract_z
K1 K 0.0000 0.0000 0.2500
K2 K 0.3333 0.6667 0.0928
Sc1 Sc 0.0000 0.0000 0.0000
Si1 Si 0.3333 0.6667 0.6290
O1 O 0.1751 0.3502 0.5924
O2 O 0.3333 0.6667 0.7500
```

Main lines, by intensity (15° ≤ 2θ ≤ 90°):
index, 2θ/deg, I/Imax
1 1 0, 31.5, 100
1 0 4, 31.6, 73
2 0 4, 45.2, 42
3 0 0, 56.1, 37
2 0 3, 41.6, 35
2 2 0, 65.8, 23